# 1
Structure and theoretical powder diffraction line list of CsCaSbH2 (DFT lattice parameters and positions (GGA-PBE); copper Kα).
Peak positions follow from Bragg's law for the DFT cell and can differ from measured ones.

Peak list (12 most intense, 5 to 70 degrees two-theta, sorted by position)
(hkl), Position (°2θ), I_rel
2 0 0, 12.19, 22
1 1 0, 19.75, 29
4 0 0, 24.53, 29
3 1 0, 26.35, 100
2 0 1, 28.75, 36
1 1 -1, 29.48, 90
4 0 -1, 29.64, 38
0 2 0, 38.07, 23
3 1 1, 38.25, 22
2 2 1, 48.39, 17
4 2 -1, 48.97, 27
5 1 -2, 54.29, 22

Cell and atoms:
```
data_CsCaSbH2
_cell_length_a 14.9352
_cell_length_b 4.7278
_cell_length_c 3.9496
_cell_angle_alpha 90.00
_cell_angle_beta 103.59
_cell_angle_gamma 90.00
_space_group_name_H-M_alt 'C 1 m 1'
_space_group_IT_number 8
_space_group_name_Hall 'C -2y'
loop_
_atom_site_label
_atom_site_fract_x
_atom_site_fract_y
_atom_site_fract_z
Cs1 0.0000 0.0000 0.0000
Ca1 0.2749 0.0000 0.2639
Sb1 0.1851 0.5000 0.7102
H1 0.2396 0.5000 0.3486
H2 0.3708 0.0000 0.8365
```


# 2
Structure and theoretical powder diffraction line list of CsNaSO4 (DFT lattice parameters and positions (GGA-PBE); copper Kα).
Peak positions follow from Bragg's law for the DFT cell and can differ from measured ones.

Peak list (12 most intense, 5 to 70 degrees two-theta, sorted by position)
(hkl), Position (°2θ), I_rel
0 1 1, 19.13, 14
1 1 0, 22.53, 100
1 1 1, 25.50, 39
1 0 -2, 26.07, 47
0 1 2, 26.86, 64
1 0 2, 27.88, 18
0 2 0, 31.85, 32
2 0 0, 32.27, 48
1 2 -1, 37.15, 24
2 1 -2, 41.25, 14
1 2 -2, 41.61, 32
2 2 0, 45.99, 14

Cell and atoms:
```
data_CsNaSO4
_cell_length_a 5.5590
_cell_length_b 5.6188
_cell_length_c 8.2464
_cell_angle_alpha 90.00
_cell_angle_beta 93.95
_cell_angle_gamma 90.00
_space_group_name_H-M_alt 'P 1 21/m 1'
_space_group_IT_number 11
_space_group_name_Hall '-P 2yb'
loop_
_atom_site_label
_atom_site_fract_x
_atom_site_fract_y
_atom_site_fract_z
Cs1 0.2477 0.2500 0.1406
Na1 0.2030 0.7500 0.5424
S1 0.3225 0.2500 0.6898
O1 0.2164 0.2500 0.5171
O2 0.2414 0.0307 0.7733
O3 0.4085 0.7500 0.3081
```


# 3
Structure and theoretical powder diffraction line list of BaAc2B2O6 (DFT lattice parameters and positions (GGA-PBE); copper Kα).
Peak positions follow from Bragg's law for the DFT cell and can differ from measured ones.

Peak list (12 most intense, 5 to 70 degrees two-theta, sorted by position)
(hkl), Position (°2θ), I_rel
0 0 2, 18.52, 27
0 1 1, 21.83, 100
1 0 2, 27.20, 64
0 1 3, 34.44, 13
1 1 0, 34.54, 37
2 0 1, 41.23, 33
0 1 4, 42.77, 15
0 2 2, 44.51, 20
1 1 3, 44.99, 21
0 1 5, 51.90, 19
1 2 1, 54.85, 20
2 1 2, 57.53, 14

Cell and atoms:
```
data_BaAc2B2O6
_cell_length_a 5.1935
_cell_length_b 5.1935
_cell_length_c 9.5817
_cell_angle_alpha 90.00
_cell_angle_beta 90.00
_cell_angle_gamma 120.00
_space_group_name_H-M_alt 'P -3 m 1'
_space_group_IT_number 164
_space_group_name_Hall '-P 3 2"'
loop_
_atom_site_label
_atom_site_fract_x
_atom_site_fract_y
_atom_site_fract_z
Ba1 0.0000 0.0000 0.0000
Ac1 0.3333 0.6667 0.2892
B1 0.3333 0.6667 0.7711
O1 0.1800 0.3600 0.7683
```


# 4
Structure and theoretical powder diffraction line list of SnTePd4 (DFT lattice parameters and positions (GGA-PBE); copper Kα).
Peak positions follow from Bragg's law for the DFT cell and can differ from measured ones.

Peak list (12 most intense, 5 to 70 degrees two-theta, sorted by position)
(hkl), Position (°2θ), I_rel
0 0 6, 37.68, 13
2 1 3, 37.85, 100
0 1 5, 38.09, 5
3 0 2, 39.28, 8
1 1 5, 40.14, 24
0 2 0, 43.32, 24
3 1 1, 43.67, 7
4 0 0, 50.24, 10
1 0 8, 52.65, 5
0 2 6, 58.73, 8
3 0 8, 64.75, 9
4 2 0, 68.46, 8

Cell and atoms:
```
data_SnTePd4
_cell_length_a 7.2645
_cell_length_b 4.1775
_cell_length_c 14.3235
_cell_angle_alpha 90.00
_cell_angle_beta 90.00
_cell_angle_gamma 90.00
_space_group_name_H-M_alt 'P n m a'
_space_group_IT_number 62
_space_group_name_Hall '-P 2ac 2n'
loop_
_atom_site_label
_atom_site_fract_x
_atom_site_fract_y
_atom_site_fract_z
Sn1 0.2496 0.2500 0.2269
Te1 0.2503 0.2500 0.9649
Pd1 0.0005 0.2500 0.7503
Pd2 0.0473 0.2500 0.3952
Pd3 0.0475 0.7500 0.8958
Pd4 0.2499 0.2500 0.5919
```


# 5
Structure and theoretical powder diffraction line list of BeClF (DFT lattice parameters and positions (GGA-PBE); copper Kα).
Peak positions follow from Bragg's law for the DFT cell and can differ from measured ones.

Peak list (12 most intense, 5 to 70 degrees two-theta, sorted by position)
(hkl), Position (°2θ), I_rel
0 1 1, 24.18, 100
1 1 0, 32.58, 32
0 1 2, 36.22, 96
2 0 0, 37.80, 13
2 0 1, 40.99, 27
1 1 2, 45.46, 10
2 0 2, 49.54, 7
0 1 3, 50.96, 7
1 2 1, 53.31, 21
2 1 2, 60.54, 19
2 0 3, 61.81, 8
0 3 2, 67.26, 8

Cell and atoms:
```
data_BeClF
_cell_length_a 5.4960
_cell_length_b 5.4960
_cell_length_c 5.8028
_cell_angle_alpha 90.00
_cell_angle_beta 90.00
_cell_angle_gamma 120.00
_space_group_name_H-M_alt 'P 32'
_space_group_IT_number 145
_space_group_name_Hall 'P 32'
loop_
_atom_site_label
_atom_site_fract_x
_atom_site_fract_y
_atom_site_fract_z
Be1 0.0552 0.4972 0.0000
Cl1 0.3421 0.2437 0.4221
F1 0.1784 0.7034 0.2069
```


# 6
Structure and theoretical powder diffraction line list of Cu4Pd (DFT lattice parameters and positions (GGA-PBE); copper Kα).
Peak positions follow from Bragg's law for the DFT cell and can differ from measured ones.

Peak list (9 most intense, 5 to 70 degrees two-theta, sorted by position)
(hkl), Position (°2θ), I_rel
1 0 1, 19.34, 2
0 0 2, 24.33, 1
1 1 1, 24.59, 2
2 0 1, 32.77, 1
2 1 0, 34.02, 1
1 2 1, 36.23, 1
2 1 2, 42.27, 100
1 3 0, 48.88, 32
0 0 4, 49.85, 15

Cell and atoms:
```
data_Cu4Pd
_cell_length_a 5.8926
_cell_length_b 5.8926
_cell_length_c 7.3171
_cell_angle_alpha 90.00
_cell_angle_beta 90.00
_cell_angle_gamma 90.00
_space_group_name_H-M_alt 'P 42/m'
_space_group_IT_number 84
_space_group_name_Hall '-P 4c'
loop_
_atom_site_label
_atom_site_fract_x
_atom_site_fract_y
_atom_site_fract_z
Cu1 0.0000 0.0000 0.0000
Cu2 0.0964 0.2972 0.2493
Cu3 0.1917 0.6048 0.0000
Cu4 0.5000 0.5000 0.2500
Pd1 0.2080 0.6026 0.5000
```


# 7
Structure and theoretical powder diffraction line list of Ti8SbN2 (DFT lattice parameters and positions (GGA-PBE); copper Kα).
Peak positions follow from Bragg's law for the DFT cell and can differ from measured ones.

Peak list (12 most intense, 5 to 70 degrees two-theta, sorted by position)
(hkl), Position (°2θ), I_rel
0 0 2, 13.48, 7
0 1 1, 17.73, 13
0 1 3, 26.18, 12
1 1 4, 37.59, 48
0 1 5, 38.08, 20
2 0 0, 39.33, 100
1 0 5, 39.55, 20
0 2 4, 43.34, 16
0 0 8, 55.95, 16
2 2 4, 59.98, 11
1 3 4, 62.14, 7
0 3 5, 62.48, 7

Cell and atoms:
```
data_Ti8SbN2
_cell_length_a 4.5768
_cell_length_b 5.4087
_cell_length_c 13.1365
_cell_angle_alpha 90.00
_cell_angle_beta 90.00
_cell_angle_gamma 90.00
_space_group_name_H-M_alt 'I m m m'
_space_group_IT_number 71
_space_group_name_Hall '-I 2 2'
loop_
_atom_site_label
_atom_site_fract_x
_atom_site_fract_y
_atom_site_fract_z
Ti1 0.0000 0.0000 0.1196
Ti2 0.0000 0.2374 0.3990
Ti3 0.0000 0.5000 0.2276
Sb1 0.0000 0.5000 0.0000
N1 0.0000 0.0000 0.2712
```


# 8
Structure and theoretical powder diffraction line list of ScTa2 (DFT lattice parameters and positions (GGA-PBE); copper Kα).
Peak positions follow from Bragg's law for the DFT cell and can differ from measured ones.

Peak list (12 most intense, 5 to 70 degrees two-theta, sorted by position)
(hkl), Position (°2θ), I_rel
1 0 0, 18.22, 58
0 0 2, 19.73, 31
1 0 1, 20.74, 33
1 0 3, 35.14, 28
1 1 2, 37.74, 76
2 0 1, 38.30, 100
0 0 4, 40.08, 31
2 0 2, 42.21, 54
2 0 3, 48.14, 34
3 0 2, 60.66, 19
2 0 5, 64.38, 25
2 2 0, 66.53, 26

Cell and atoms:
```
data_ScTa2
_cell_length_a 5.6218
_cell_length_b 5.6218
_cell_length_c 8.9983
_cell_angle_alpha 90.00
_cell_angle_beta 90.00
_cell_angle_gamma 120.00
_space_group_name_H-M_alt 'P 63/m m c'
_space_group_IT_number 194
_space_group_name_Hall '-P 6c 2c'
loop_
_atom_site_label
_atom_site_fract_x
_atom_site_fract_y
_atom_site_fract_z
Sc1 0.3333 0.6667 0.0624
Ta1 0.0000 0.0000 0.0000
Ta2 0.1694 0.3387 0.7500
```


# 9
Structure and theoretical powder diffraction line list of Ti2NbW2 (DFT lattice parameters and positions (GGA-PBE); copper Kα).
Peak positions follow from Bragg's law for the DFT cell and can differ from measured ones.

Peak list (12 most intense, 5 to 70 degrees two-theta, sorted by position)
(hkl), Position (°2θ), I_rel
2 0 0, 17.14, 39
1 1 0, 19.09, 15
1 1 -1, 22.47, 12
1 1 1, 26.14, 11
2 0 -2, 29.32, 8
4 0 -2, 37.71, 63
1 1 2, 38.51, 100
2 2 -1, 39.45, 94
5 1 0, 47.30, 55
3 1 -4, 62.01, 27
3 3 1, 64.46, 22
6 2 -3, 69.22, 17

Cell and atoms:
```
data_Ti2NbW2
_cell_length_a 10.9925
_cell_length_b 5.2030
_cell_length_c 6.2767
_cell_angle_alpha 90.00
_cell_angle_beta 109.78
_cell_angle_gamma 90.00
_space_group_name_H-M_alt 'C 1 2/c 1'
_space_group_IT_number 15
_space_group_name_Hall '-C 2yc'
loop_
_atom_site_label
_atom_site_fract_x
_atom_site_fract_y
_atom_site_fract_z
Ti1 0.1049 0.1243 0.4535
Nb1 0.0000 0.3770 0.7500
W1 0.2038 0.3762 0.1499
```


# 10
Structure and theoretical powder diffraction line list of NbPt2Rh4 (DFT lattice parameters and positions (GGA-PBE); copper Kα).
Peak positions follow from Bragg's law for the DFT cell and can differ from measured ones.

Peak list (12 most intense, 5 to 70 degrees two-theta, sorted by position)
(hkl), Position (°2θ), I_rel
0 1 1, 16.34, 8
0 1 -2, 37.30, 71
2 2 2, 40.15, 80
2 -1 1, 42.41, 100
1 2 -1, 42.51, 48
0 3 1, 42.64, 96
0 2 3, 42.75, 49
3 1 0, 55.72, 14
2 3 0, 55.87, 8
2 1 4, 56.09, 15
1 3 4, 56.25, 7
1 -3 2, 67.26, 50

Cell and atoms:
```
data_NbPt2Rh4
_cell_length_a 5.3059
_cell_length_b 6.5719
_cell_length_c 7.1258
_cell_angle_alpha 64.91
_cell_angle_beta 70.91
_cell_angle_gamma 75.86
_space_group_name_H-M_alt 'P 1'
_space_group_IT_number 1
_space_group_name_Hall 'P 1'
loop_
_atom_site_label
_atom_site_fract_x
_atom_site_fract_y
_atom_site_fract_z
Nb1 0.0000 0.0000 0.0000
Nb2 0.1901 0.7634 0.5509
Pt1 0.0512 0.1896 0.2651
Pt2 0.3316 0.3367 0.8321
Pt3 0.4278 0.7146 0.8657
Pt4 0.5794 0.2882 0.1451
Rh1 0.1430 0.5763 0.2952
Rh2 0.2877 0.1398 0.5772
Rh3 0.4826 0.9031 0.1230
Rh4 0.6169 0.4797 0.4127
Rh5 0.7155 0.8606 0.4287
Rh6 0.7732 0.0542 0.6872
Rh7 0.8617 0.4317 0.7141
Rh8 0.9072 0.6297 0.9787
```


Q: Number 3 is which compound?
A: BaAc2B2O6